Diffraction record for Cu6SnGe. The X-ray powder pattern is simulated, not measured: it uses a structure optimized by DFT (GGA-PBE) and copper Kα.
Peak positions follow from Bragg's law for the DFT cell and can differ from measured ones.

Principal peaks in the range 2θ = 10–80°, in order of rising 2θ:
| d (Å) | I/Imax | index |
| --- | --- | --- |
| 4.728 | 2 | 1 0 0 |
| 3.163 | 6 | 1 0 1 |
| 2.730 | 1 | 1 1 0 |
| 2.364 | 25 | 2 0 0 |
| 2.128 | 25 | 0 0 2 |
| 2.067 | 100 | 2 0 1 |
| 1.787 | 2 | 2 1 0 |
| 1.582 | 14 | 2 0 2 |
| 1.368 | 2 | 2 1 2 |
| 1.365 | 16 | 2 2 0 |
| 1.253 | 1 | 3 1 1 |
| 1.216 | 16 | 2 0 3 |

Cell and atoms:
```
data_Cu6SnGe
_chemical_formula_sum 'Cu6 Sn1 Ge1'
_cell_length_a 5.4594
_cell_length_b 5.4594
_cell_length_c 4.2558
_cell_angle_alpha 90.00
_cell_angle_beta 90.00
_cell_angle_gamma 120.00
_symmetry_space_group_name_H-M 'P -6 m 2'
_symmetry_Int_Tables_number 187
_symmetry_space_group_name_Hall 'P -6 2'
loop_
_atom_site_label
_atom_site_type_symbol
_atom_site_fract_x
_atom_site_fract_y
_atom_site_fract_z
_atom_site_occupancy
Cu1 Cu 0.0197 0.5098 0.0000 1
Cu2 Cu 0.1690 0.3381 0.5000 1
Sn1 Sn 0.6667 0.3333 0.5000 1
Ge1 Ge 0.0000 0.0000 0.0000 1
```

Diffraction record for SmEuHf2O6. The X-ray powder pattern is simulated, not measured: it uses a structure optimized by DFT (GGA-PBE) and copper Kα.
Peak positions follow from Bragg's law for the DFT cell and can differ from measured ones.

Principal peaks in the range 2θ = 10–80°, in order of rising 2θ:
| d (Å) | I/Imax | index |
| --- | --- | --- |
| 2.914 | 95 | 0 2 1 |
| 2.889 | 92 | 2 0 1 |
| 2.835 | 100 | 2 2 0 |
| 2.102 | 29 | 0 0 2 |
| 2.021 | 23 | 0 4 0 |
| 1.989 | 22 | 4 0 0 |
| 1.688 | 44 | 2 2 2 |
| 1.656 | 41 | 2 4 1 |
| 1.643 | 41 | 4 2 1 |
| 1.457 | 16 | 0 4 2 |
| 1.445 | 15 | 4 0 2 |
| 1.417 | 13 | 4 4 0 |

Cell and atoms:
```
data_SmEuHf2O6
_chemical_formula_sum 'Sm2 Eu2 Hf4 O12'
_cell_length_a 7.955
_cell_length_b 8.083
_cell_length_c 4.204
_cell_angle_alpha 90.00
_cell_angle_beta 90.00
_cell_angle_gamma 90.00
_symmetry_space_group_name_H-M 'C m m m'
_symmetry_Int_Tables_number 65
_symmetry_space_group_name_Hall '-C 2 2'
loop_
_atom_site_label
_atom_site_type_symbol
_atom_site_fract_x
_atom_site_fract_y
_atom_site_fract_z
_atom_site_occupancy
Sm1 Sm 0.000 0.000 0.000 1
Eu1 Eu 0.000 0.500 0.000 1
Hf1 Hf 0.250 0.250 0.500 1
O1 O 0.000 0.320 0.500 1
O2 O 0.175 0.000 0.500 1
O3 O 0.250 0.250 0.000 1
```